Structure and theoretical powder X-ray diffraction pattern of Er2WO6 (DFT lattice parameters and positions (PBE+U); Cu Kα (weighted mean of Kα1 and Kα2)).

Largest 10 diffraction maxima, low angle first, 2θ from 15° to 90°:
- 25.93°, intensity 36, (1 2 0)
- 26.60°, intensity 65, (1 1 2)
- 27.47°, intensity 100, (1 2 1)
- 28.70°, intensity 22, (0 1 3)
- 30.81°, intensity 27, (0 3 1)
- 33.51°, intensity 67, (1 1 3)
- 34.23°, intensity 35, (2 0 0)
- 34.64°, intensity 26, (0 3 2)
- 46.71°, intensity 24, (2 3 1)
- 54.12°, intensity 29, (1 5 1)

Atomic structure:
```
data_Er2WO6
_symmetry_space_group_name_H-M 'P 21 21 21'
_symmetry_Int_Tables_number 19
_cell_length_a 5.2390
_cell_length_b 9.1038
_cell_length_c 9.9287
_cell_angle_alpha 90.00
_cell_angle_beta 90.00
_cell_angle_gamma 90.00
loop_
_symmetry_equiv_pos_as_xyz
'x,y,z'
'-x+1/2,-y,z+1/2'
'x+1/2,-y+1/2,-z'
'-x,y+1/2,-z+1/2'
loop_
_atom_site_label
_atom_site_type_symbol
_atom_site_fract_x
_atom_site_fract_y
_atom_site_fract_z
Er1 Er 0.0149 0.1038 0.4654
Er2 Er 0.0414 0.2187 0.8713
W1 W 0.0372 0.4956 0.3477
O1 O 0.0929 0.8422 0.0318
O2 O 0.1753 0.9536 0.3016
O3 O 0.1780 0.6374 0.8188
O4 O 0.1937 0.6424 0.2357
O5 O 0.2351 0.1168 0.0688
O6 O 0.2456 0.5885 0.4960
```